Record 1
Ba3Zr6BeCl18: computed powder X-ray diffraction pattern (copper Kα), based on a DFT-relaxed cell (PBE, Alexandria).
Peak positions follow from Bragg's law for the DFT cell and can differ from measured ones.

Principal peaks in the range 2θ = 10–80°, sorted by position:
10.9 deg, intensity 100
16.8 deg, intensity 80
20.6 deg, intensity 60
25.6 deg, intensity 83
30.8 deg, intensity 81
33.0 deg, intensity 59
33.3 deg, intensity 60
35.3 deg, intensity 98
38.5 deg, intensity 61
48.9 deg, intensity 69

Structural model:
```
56
Lattice="4.933 2.848 17.820 -4.933 2.848 17.820 0.000 -5.696 17.820" Properties=species:S:1:pos:R:3 pbc="T T T"
Ba 0.000 0.000 5.892
Ba 0.000 0.000 13.365
Ba 0.000 0.000 20.837
Ba 0.000 0.000 32.621
Ba 0.000 0.000 40.094
Ba 0.000 0.000 47.567
Zr -1.072 -4.088 19.156
Zr -4.076 -1.115 34.303
Zr -3.004 2.972 19.156
Zr -1.072 -1.608 25.393
Zr -1.929 0.125 28.065
Zr -0.857 1.733 25.393
Zr 0.857 -1.733 28.065
Zr 1.929 -0.125 25.393
Zr 1.072 1.608 28.065
Zr 3.004 -2.972 34.303
Zr 4.076 1.115 19.156
Zr 1.072 4.087 34.303
Be 0.000 0.000 0.000
Be 0.000 0.000 26.729
Cl -2.286 -3.561 23.913
Cl -2.286 -2.134 20.635
Cl -3.801 1.152 20.860
Cl -3.241 -1.671 26.789
Cl -4.227 0.199 29.545
Cl -2.898 -2.716 32.598
Cl -0.173 -2.053 17.879
Cl -1.691 1.177 17.879
Cl -2.034 0.132 23.689
Cl 0.903 -3.868 20.860
Cl -0.173 -3.643 26.670
Cl -3.068 1.971 26.670
Cl -1.132 -1.696 29.770
Cl -2.991 0.913 32.823
Cl -1.865 -0.876 35.579
Cl 0.903 -1.828 23.689
Cl -1.941 3.760 23.913
Cl -0.705 3.047 20.635
Cl 0.705 -3.047 32.823
Cl 1.941 -3.760 29.545
Cl -0.903 1.828 29.770
Cl 1.865 0.876 17.879
Cl 2.991 -0.913 20.635
Cl 1.132 1.696 23.689
Cl 3.068 -1.971 26.789
Cl 0.173 3.643 26.789
Cl -0.903 3.868 32.598
Cl 2.034 -0.132 29.770
Cl 1.691 -1.177 35.579
Cl 0.173 2.053 35.579
Cl 2.898 2.716 20.860
Cl 4.227 -0.199 23.913
Cl 3.241 1.671 26.670
Cl 3.801 -1.152 32.598
Cl 2.286 2.134 32.823
Cl 2.286 3.561 29.545
```

---

Record 2
SrH3F6: computed powder X-ray diffraction pattern (copper Kα), based on a DFT-relaxed cell (PBE, Alexandria).
Peak positions follow from Bragg's law for the DFT cell and can differ from measured ones.

Principal peaks in the range 2θ = 10–80°, sorted by position:
16.1 deg, intensity 100
24.3 deg, intensity 21
29.3 deg, intensity 22
32.6 deg, intensity 21
33.7 deg, intensity 34
41.1 deg, intensity 34
43.6 deg, intensity 14
46.9 deg, intensity 17
47.6 deg, intensity 27
49.8 deg, intensity 16

Structural model:
```
10
Lattice="5.491 3.170 1.320 -5.491 3.170 1.320 0.000 -6.341 1.320" Properties=species:S:1:pos:R:3 pbc="T T T"
Sr 0.000 0.000 0.000
H 0.000 -2.855 1.674
H -2.472 1.427 1.674
H 2.472 1.427 1.674
F 0.000 -3.856 1.346
F -3.339 1.928 1.346
F 0.000 -1.634 1.989
F -1.415 0.817 1.989
F 1.415 0.817 1.989
F 3.339 1.928 1.346
```

---

Record 3
K2BiPbBr8: computed powder X-ray diffraction pattern (copper Kα), based on a DFT-relaxed cell (PBE, Alexandria).
Peak positions follow from Bragg's law for the DFT cell and can differ from measured ones.

Principal peaks in the range 2θ = 10–80°, sorted by position:
12.1 deg, intensity 100
16.3 deg, intensity 42
17.9 deg, intensity 25
23.3 deg, intensity 36
25.8 deg, intensity 57
28.3 deg, intensity 34
33.0 deg, intensity 67
34.7 deg, intensity 31
42.3 deg, intensity 30
44.9 deg, intensity 22

Structural model:
```
12
Lattice="7.319 0.000 0.000 0.000 8.958 0.000 -0.672 0.000 7.343" Properties=species:S:1:pos:R:3 pbc="T T T"
K 0.000 2.212 0.000
K 0.000 6.746 0.000
Bi 3.323 0.000 3.671
Pb 3.323 4.479 3.671
Br 0.955 4.479 2.138
Br 0.971 0.000 2.096
Br 2.265 2.215 5.315
Br 2.265 6.743 5.315
Br 4.382 2.215 2.028
Br 4.382 6.743 2.028
Br 5.676 0.000 5.247
Br 5.692 4.479 5.205
```

---

Record 4
Ba2LiAlPd2: computed powder X-ray diffraction pattern (copper Kα), based on a DFT-relaxed cell (PBE, Alexandria).
Peak positions follow from Bragg's law for the DFT cell and can differ from measured ones.

Principal peaks in the range 2θ = 10–80°, sorted by position:
20.6 deg, intensity 24
28.5 deg, intensity 35
28.9 deg, intensity 32
29.0 deg, intensity 100
35.5 deg, intensity 19
35.7 deg, intensity 18
41.0 deg, intensity 32
47.0 deg, intensity 35
50.8 deg, intensity 21
51.2 deg, intensity 18

Structural model:
```
12
Lattice="-3.093 8.607 3.131 3.093 -8.607 3.131 3.093 8.607 -3.131" Properties=species:S:1:pos:R:3 pbc="T T T"
Ba 1.518 2.768 0.000
Ba 1.518 -2.768 3.131
Ba 1.575 11.374 0.000
Ba 1.575 5.839 3.131
Li 0.000 0.000 1.566
Li 0.000 0.000 4.697
Al 3.093 0.000 1.566
Al 0.000 8.607 1.566
Pd 4.474 1.466 0.000
Pd 1.381 7.140 0.000
Pd 1.713 1.466 3.131
Pd -1.381 7.140 3.131
```

---

Record 5
MgTiBiO5: computed powder X-ray diffraction pattern (copper Kα), based on a DFT-relaxed cell (PBE, Alexandria).
Peak positions follow from Bragg's law for the DFT cell and can differ from measured ones.

Principal peaks in the range 2θ = 10–80°, sorted by position:
13.8 deg, intensity 32
17.6 deg, intensity 100
19.1 deg, intensity 27
19.8 deg, intensity 49
23.9 deg, intensity 62
24.7 deg, intensity 77
29.2 deg, intensity 86
33.6 deg, intensity 26
34.1 deg, intensity 35
34.4 deg, intensity 26

Structural model:
```
32
Lattice="5.370 0.000 0.000 0.000 10.841 0.000 -2.938 0.000 7.922" Properties=species:S:1:pos:R:3 pbc="T T T"
Mg -0.292 0.988 1.313
Mg -1.761 4.432 5.274
Mg 4.194 6.409 2.648
Mg 2.725 9.852 6.609
Ti 1.774 6.728 0.392
Ti 0.305 9.533 4.353
Ti 2.128 1.308 3.569
Ti 0.659 4.113 7.530
Bi -0.015 1.131 6.659
Bi 1.453 4.289 2.698
Bi 0.979 6.551 5.224
Bi 2.448 9.710 1.263
O 0.474 5.930 1.437
O -0.994 10.331 5.398
O -0.355 7.893 3.850
O -1.824 8.368 7.811
O 1.319 0.373 0.056
O -0.149 5.047 4.017
O 0.771 2.149 2.566
O -0.698 3.272 6.527
O -0.628 5.874 6.703
O 0.841 10.387 2.742
O 1.592 0.453 5.180
O 3.061 4.967 1.219
O 3.130 7.569 1.395
O 1.662 8.692 5.356
O 2.582 5.794 3.905
O 1.113 10.467 7.866
O 4.257 2.473 0.111
O 2.788 2.947 4.072
O 3.427 0.510 2.524
O 1.958 4.910 6.485
```